Starting from a cell relaxed with PBE, the X-ray powder pattern of Nb6Zn2N was computed for Cu Kα (weighted mean of Kα1 and Kα2).
No peak broadening, texture or thermal motion is included.

Atomic structure:
```
data_Nb6Zn2N
_cell_length_a 5.507
_cell_length_b 6.571
_cell_length_c 9.700
_cell_angle_alpha 90.00
_cell_angle_beta 123.02
_cell_angle_gamma 90.00
_symmetry_space_group_name_H-M 'P 1'
_symmetry_Int_Tables_number 1
loop_
_symmetry_equiv_pos_as_xyz
'x,y,z'
loop_
_atom_site_label
_atom_site_type_symbol
_atom_site_fract_x
_atom_site_fract_y
_atom_site_fract_z
Nb1 Nb 0.126 0.170 0.462
Nb2 Nb 0.126 0.330 0.962
Nb3 Nb 0.292 0.710 0.452
Nb4 Nb 0.292 0.790 0.952
Nb5 Nb 0.310 0.004 0.224
Nb6 Nb 0.310 0.496 0.724
Nb7 Nb 0.690 0.504 0.276
Nb8 Nb 0.690 0.996 0.776
Nb9 Nb 0.708 0.210 0.048
Nb10 Nb 0.708 0.290 0.548
Nb11 Nb 0.874 0.670 0.038
Nb12 Nb 0.874 0.830 0.538
Zn1 Zn 0.203 0.104 0.761
Zn2 Zn 0.203 0.396 0.261
Zn3 Zn 0.797 0.604 0.739
Zn4 Zn 0.797 0.896 0.239
N1 N 0.500 0.000 0.500
N2 N 0.500 0.500 0.000
```

Top 6 peaks for 10° ≤ 2θ ≤ 90°, low angle first:
2θ 35.1, 2.556 Å, I 100.0; 2θ 35.4, 2.539 Å, I 35.7; 2θ 37.4, 2.406 Å, I 64.1; 2θ 39.1, 2.303 Å, I 46.3; 2θ 42.4, 2.130 Å, I 36.1; 2θ 44.5, 2.034 Å, I 73.9

Starting from a cell relaxed with PBE, the X-ray powder pattern of LiAc2Rh3O8 was computed for Cu Kα (weighted mean of Kα1 and Kα2).
No peak broadening, texture or thermal motion is included.

Atomic structure:
```
data_LiAc2Rh3O8
_cell_length_a 6.748
_cell_length_b 6.748
_cell_length_c 6.748
_cell_angle_alpha 57.82
_cell_angle_beta 57.82
_cell_angle_gamma 57.82
_symmetry_space_group_name_H-M 'P 1'
_symmetry_Int_Tables_number 1
loop_
_symmetry_equiv_pos_as_xyz
'x,y,z'
loop_
_atom_site_label
_atom_site_type_symbol
_atom_site_fract_x
_atom_site_fract_y
_atom_site_fract_z
Li1 Li 0.000 0.000 0.000
Ac1 Ac 0.195 0.195 0.195
Ac2 Ac 0.576 0.576 0.576
Rh1 Rh 0.064 0.568 0.568
Rh2 Rh 0.568 0.064 0.568
Rh3 Rh 0.568 0.568 0.064
O1 O 0.313 0.313 0.768
O2 O 0.313 0.768 0.313
O3 O 0.343 0.343 0.343
O4 O 0.350 0.834 0.834
O5 O 0.768 0.313 0.313
O6 O 0.790 0.790 0.790
O7 O 0.834 0.350 0.834
O8 O 0.834 0.834 0.350
```

Top 6 peaks for 10° ≤ 2θ ≤ 90°, low angle first:
2θ 16.6, 5.355 Å, I 51.5; 2θ 18.9, 4.688 Å, I 49.6; 2θ 27.3, 3.262 Å, I 34.7; 2θ 31.0, 2.887 Å, I 57.8; 2θ 31.7, 2.818 Å, I 100.0; 2θ 33.5, 2.677 Å, I 39.4

Starting from a cell relaxed with PBE, the X-ray powder pattern of Sr2ZnHPd6 was computed for Cu Kα (weighted mean of Kα1 and Kα2).
No peak broadening, texture or thermal motion is included.

Atomic structure:
```
data_Sr2ZnHPd6
_cell_length_a 6.340
_cell_length_b 6.340
_cell_length_c 6.195
_cell_angle_alpha 119.15
_cell_angle_beta 119.15
_cell_angle_gamma 90.14
_symmetry_space_group_name_H-M 'P 1'
_symmetry_Int_Tables_number 1
loop_
_symmetry_equiv_pos_as_xyz
'x,y,z'
loop_
_atom_site_label
_atom_site_type_symbol
_atom_site_fract_x
_atom_site_fract_y
_atom_site_fract_z
Sr1 Sr 0.241 0.759 0.000
Sr2 Sr 0.759 0.241 0.000
Zn1 Zn 0.000 0.000 0.500
H1 H 0.500 0.500 0.500
Pd1 Pd 0.275 0.725 0.500
Pd2 Pd 0.283 0.283 0.049
Pd3 Pd 0.283 0.283 0.517
Pd4 Pd 0.717 0.717 0.483
Pd5 Pd 0.717 0.717 0.951
Pd6 Pd 0.725 0.275 0.500
```

Top 6 peaks for 10° ≤ 2θ ≤ 90°, low angle first:
2θ 19.8, 4.483 Å, I 18.8; 2θ 34.1, 2.628 Å, I 100.0; 2θ 35.2, 2.549 Å, I 99.3; 2θ 40.2, 2.244 Å, I 93.0; 2θ 40.3, 2.236 Å, I 45.9; 2θ 58.2, 1.585 Å, I 54.9